[1]
K6Rb9H: simulated powder diffractogram (Cu Kα (weighted mean of Kα1 and Kα2)), based on a structure optimized by DFT (GGA-PBE).
Intensities are scaled so that the largest is 100.

Structure:
```
K6Rb9H
1.0
-5.423 5.423 10.200
5.423 -5.423 10.200
5.423 5.423 -10.200
K Rb H
6 9 1
direct
0.083 0.730 0.813
0.148 0.148 0.000
0.270 0.083 0.353
0.730 0.917 0.647
0.852 0.852 0.000
0.917 0.270 0.187
0.036 0.237 0.602
0.237 0.636 0.201
0.364 0.565 0.602
0.435 0.036 0.799
0.500 0.500 0.000
0.565 0.964 0.201
0.636 0.435 0.398
0.763 0.364 0.799
0.964 0.763 0.398
0.000 0.000 0.000
```

Most intense lines, 2θ = 10–90°, in order of falling intensity:
2θ (°)  I_rel
22.5  100
26.0  35
43.8  30
37.2  25
26.2  17
37.1  15
44.1  15
46.0  13
58.9  11
66.9  7

---

[2]
Sm2Cu3Si: simulated powder diffractogram (Cu Kα (weighted mean of Kα1 and Kα2)), based on a structure optimized by DFT (GGA-PBE).
Intensities are scaled so that the largest is 100.

Structure:
```
Sm2Cu3Si
1.0
0.000 4.249 7.313
3.791 0.000 7.313
3.791 4.249 0.000
Sm Cu Si
4 6 2
direct
0.239 0.761 0.761
0.250 0.250 0.250
0.750 0.750 0.750
0.761 0.239 0.239
0.170 0.170 0.830
0.171 0.659 0.341
0.341 0.829 0.171
0.659 0.171 0.829
0.829 0.341 0.659
0.830 0.830 0.170
0.336 0.336 0.664
0.664 0.664 0.336
```

Most intense lines, 2θ = 10–90°, in order of falling intensity:
2θ (°)  I_rel
34.0  100
42.8  29
55.6  16
24.2  15
66.2  15
42.6  15
48.0  10
55.8  8
80.4  8
66.1  7

---

[3]
Nd3Co4: simulated powder diffractogram (Cu Kα (weighted mean of Kα1 and Kα2)), based on a structure optimized by DFT (GGA-PBE).
Intensities are scaled so that the largest is 100.

Structure:
```
Nd3Co4
1.0
3.954 0.000 0.000
0.000 4.206 0.000
0.000 0.000 17.271
Nd Co
6 8
direct
0.000 0.000 0.000
0.000 0.500 0.315
0.000 0.500 0.685
0.500 0.000 0.185
0.500 0.000 0.815
0.500 0.500 0.500
0.000 0.000 0.433
0.000 0.000 0.567
0.000 0.500 0.131
0.000 0.500 0.869
0.500 0.000 0.369
0.500 0.000 0.631
0.500 0.500 0.067
0.500 0.500 0.933
```

Most intense lines, 2θ = 10–90°, in order of falling intensity:
2θ (°)  I_rel
32.8  100
33.6  71
27.4  33
43.0  29
58.1  29
37.5  28
43.2  25
45.9  24
53.0  20
31.1  20